Calculated powder XRD pattern
Compound: BaU2S6
Radiation: CuKα
Structure: a DFT-relaxed cell (PBE, Alexandria)
No peak broadening, texture or thermal motion is included.

Structure:
Unit cell a=5.5299 b=5.5299 c=7.6500 alpha=96.22 beta=96.22 gamma=106.37
Element x y z (fractional)
Ba: 0.0000 0.0000 0.0000
U: 0.2601 0.7399 0.5000
U: 0.7399 0.2601 0.5000
S: 0.1188 0.4895 0.7693
S: 0.2295 0.2295 0.4065
S: 0.4895 0.1188 0.7693
S: 0.5105 0.8812 0.2307
S: 0.7705 0.7705 0.5935
S: 0.8812 0.5105 0.2307

Peak list (8 most intense, 2θ from 10° to 80°, low angle first)
2θ 11.76, I 100; 2θ 20.06, I 27; 2θ 23.31, I 86; 2θ 23.65, I 36; 2θ 32.95, I 31; 2θ 34.52, I 48; 2θ 37.92, I 45; 2θ 41.38, I 29